Record 1
Structure and calculated powder diffraction line list of NaTl3Pd3 (a PBE-relaxed structure; Cu Kα, 1.54184 Å).

Atomic structure:
```
data_NaTl3Pd3
_space_group_name_H-M_alt 'R -3'
_space_group_IT_number 148
_space_group_name_Hall '-R 3'
_cell_length_a 8.5777
_cell_length_b 8.5777
_cell_length_c 14.3056
_cell_angle_alpha 90.00
_cell_angle_beta 90.00
_cell_angle_gamma 120.00
loop_
_atom_site_label
_atom_site_fract_x
_atom_site_fract_y
_atom_site_fract_z
Na1 0.0000 0.0000 0.2478
Tl1 0.0071 0.7453 0.9170
Pd1 0.0411 0.8267 0.4160
```

Top 12 peaks for 10 to 80 degrees two-theta, sorted by position:
2θ/deg, intensity, index
17.21, 14, 0 1 2
20.71, 23, 1 1 0
27.98, 46, 1 1 3
34.31, 100, 1 2 2
37.73, 35, 0 0 6
40.86, 62, 3 -1 4
44.42, 12, 1 3 1
46.43, 11, 4 -2 3
56.79, 9, 4 1 0
61.48, 19, 1 2 8
70.21, 9, 4 1 6
74.43, 11, 3 -1 10


Record 2
Structure and calculated powder diffraction line list of Na3Tl5Pd6 (a PBE-relaxed structure; Cu Kα, 1.54184 Å).

Atomic structure:
```
data_Na3Tl5Pd6
_space_group_name_H-M_alt 'I m m m'
_space_group_IT_number 71
_space_group_name_Hall '-I 2 2'
_cell_length_a 4.800
_cell_length_b 10.159
_cell_length_c 12.682
_cell_angle_alpha 90.00
_cell_angle_beta 90.00
_cell_angle_gamma 90.00
loop_
_atom_site_label
_atom_site_fract_x
_atom_site_fract_y
_atom_site_fract_z
Na1 0.000 0.000 0.000
Na2 0.000 0.000 0.298
Tl1 0.000 0.342 0.331
Tl2 0.000 0.500 0.000
Pd1 0.000 0.156 0.500
Pd2 0.000 0.268 0.113
```

Top 12 peaks for 10 to 80 degrees two-theta, sorted by position:
2θ/deg, intensity, index
17.46, 65, 0 2 0
20.46, 68, 1 1 0
22.78, 100, 0 1 3
28.13, 56, 1 0 3
33.31, 54, 0 2 4
33.92, 51, 0 3 3
35.39, 99, 1 3 2
37.47, 93, 2 0 0
40.21, 41, 1 0 5
40.82, 85, 1 4 1
43.40, 61, 1 3 4
44.14, 58, 1 2 5


Which formula does entry 2 have?
Na3Tl5Pd6